Structure and computed X-ray diffraction stick pattern of LiVP2HO8 (DFT lattice parameters and positions (GGA+U); Cu Kα, 1.54184 Å).
Lines closer than 0.1° are merged.

Peak list (10 most intense, 15 to 90 degrees two-theta, sorted by position)
2θ/deg	I/Imax	hkl
16.57	78	1 -1 0
22.63	59	1 1 -2
25.30	100	1 0 2
25.51	69	1 -2 0
27.70	21	1 1 2
29.18	90	-2 1 2
29.40	39	0 2 2
29.88	28	1 2 -2
33.51	58	2 2 0
52.43	26	3 -2 2

Structural model:
Unit cell a=7.4745 b=7.9837 c=9.7158 alpha=90.04 beta=105.46 gamma=90.04
Atoms (fractional coordinates):
Li  0.0000  0.0000  0.0000
Li  0.0023  0.9995  0.5007
Li  0.2117  0.5007  0.6627
Li  0.4981  0.7619  0.2514
V  0.3547  0.1404  0.2076
V  0.3646  0.1277  0.7077
V  0.8538  0.6250  0.4548
V  0.8544  0.6250  0.9554
P  0.0869  0.2835  0.8864
P  0.0879  0.2808  0.3885
P  0.1216  0.7825  0.2681
P  0.1237  0.7829  0.7713
P  0.5906  0.4757  0.1369
P  0.5925  0.4766  0.6410
P  0.6186  0.9736  0.0202
P  0.6188  0.9787  0.5180
H  0.3628  0.6241  0.9664
H  0.3644  0.6251  0.4677
H  0.8462  0.1271  0.1942
H  0.8551  0.1286  0.7039
O  0.0029  0.6828  0.1360
O  0.0043  0.6817  0.6365
O  0.0356  0.4565  0.9315
O  0.0419  0.4543  0.4425
O  0.1636  0.9548  0.2097
O  0.1675  0.9531  0.7132
O  0.1979  0.1824  0.0214
O  0.1995  0.1808  0.5246
O  0.2146  0.3032  0.7846
O  0.2173  0.3032  0.2894
O  0.2942  0.6752  0.8310
O  0.3031  0.6929  0.3362
O  0.4076  0.5710  0.5749
O  0.4166  0.5861  0.0783
O  0.4958  0.9617  0.6215
O  0.4986  0.9580  0.1266
O  0.5004  0.0727  0.8878
O  0.5002  0.0757  0.3840
O  0.5364  0.3043  0.1817
O  0.5387  0.3038  0.6860
O  0.6660  0.8073  0.4615
O  0.6721  0.8034  0.9713
O  0.7005  0.5779  0.2726
O  0.7033  0.5761  0.7741
O  0.7146  0.4630  0.5367
O  0.7168  0.4584  0.0365
O  0.7991  0.0740  0.0828
O  0.8013  0.0714  0.5826
O  0.9142  0.1774  0.3246
O  0.9154  0.1742  0.8230
O  0.9987  0.8018  0.3743
O  0.9993  0.8051  0.8750

=====

Structure and computed X-ray diffraction stick pattern of LiVP2HO8 (DFT lattice parameters and positions (GGA+U); Cu Kα, 1.54184 Å).
Lines closer than 0.1° are merged.

Peak list (10 most intense, 15 to 90 degrees two-theta, sorted by position)
2θ/deg	I/Imax	hkl
16.57	78	1 1 0
22.61	61	0 1 2
25.25	100	2 0 -2
25.49	70	1 -2 0
27.64	22	-2 1 2
29.19	88	1 -1 2
29.36	40	-1 2 2
33.50	58	2 2 0
43.60	20	1 -3 2
52.38	26	-4 2 2

Structural model:
Unit cell a=7.7599 b=7.9920 c=9.7318 alpha=90.03 beta=111.85 gamma=90.09
Atoms (fractional coordinates):
Li  0.0000  0.0000  0.0000
Li  0.0000  0.0003  0.4979
Li  0.5029  0.7622  0.4933
Li  0.7980  0.5007  0.0456
V  0.1482  0.6222  0.5250
V  0.1631  0.6268  0.0250
V  0.6354  0.1267  0.0195
V  0.6412  0.1414  0.5234
P  0.3794  0.9775  0.2051
P  0.3809  0.9779  0.7028
P  0.4176  0.4760  0.8383
P  0.4176  0.4810  0.3396
P  0.8853  0.7833  0.2043
P  0.8876  0.7863  0.7052
P  0.9113  0.2855  0.3387
P  0.9108  0.2845  0.8400
H  0.1385  0.1398  0.2841
H  0.1381  0.1399  0.7842
H  0.6575  0.6380  0.2635
H  0.6590  0.6365  0.7633
O  0.0043  0.8040  0.3712
O  0.0046  0.8052  0.8722
O  0.0056  0.6860  0.6337
O  0.0875  0.1771  0.3673
O  0.0894  0.1801  0.8676
O  0.2009  0.0691  0.6781
O  0.2013  0.0734  0.1781
O  0.2855  0.4619  0.1755
O  0.2872  0.4599  0.6745
O  0.3010  0.5731  0.9161
O  0.3039  0.5785  0.4200
O  0.3337  0.8027  0.1334
O  0.3413  0.8059  0.6235
O  0.4648  0.3023  0.9111
O  0.4654  0.3051  0.4070
O  0.5011  0.0725  0.1313
O  0.5012  0.0768  0.6285
O  0.5045  0.9610  0.3714
O  0.5088  0.9616  0.8678
O  0.5883  0.5882  0.3645
O  0.5971  0.5706  0.8628
O  0.7034  0.6917  0.6781
O  0.7089  0.6769  0.1772
O  0.7883  0.3032  0.6754
O  0.7906  0.3040  0.1723
O  0.8027  0.1833  0.4172
O  0.8038  0.1801  0.9195
O  0.8356  0.9536  0.1258
O  0.8364  0.9538  0.6219
O  0.9616  0.4550  0.9183
O  0.9664  0.4580  0.4096
O  0.9967  0.6808  0.1279